Computed powder diffraction line list
Compound: ReBW
Radiation: Cu Ka
Structure: a crystal structure in the Materials Project, relaxed with GGA-PBE
Peak positions follow from Bragg's law for the DFT cell and can differ from measured ones.

The 10 most intense peaks (10 to 90 degrees two-theta), in order of rising 2θ:
| (hkl) | 2θ (°) | I/Imax |
| --- | --- | --- |
| 0 2 2 | 32.24 | 42 |
| 2 0 0 | 38.20 | 52 |
| 1 1 3 | 41.00 | 100 |
| 1 3 1 | 41.17 | 96 |
| 2 2 2 | 50.83 | 28 |
| 0 4 2 | 52.19 | 13 |
| 3 1 3 | 70.95 | 20 |
| 3 3 1 | 71.07 | 20 |
| 1 3 5 | 72.96 | 21 |
| 1 5 3 | 73.19 | 19 |

Crystal structure
abc: 4.712 7.828 7.878
angles: 90.00 90.00 90.00
Space group Fmmm (No. 69)
Symmetry-distinct sites (fractional):
Re (0.000, 0.000, 0.170)
B (0.250, 0.250, 0.250)
W (0.000, 0.167, 0.500)